Record 1
Starting from a DFT-relaxed cell (GGA-PBE, Alexandria), the powder diffractogram of Ho4Tm3 was calculated for Cu Kα, 1.54184 Å.
Lines closer than 0.1° are merged.

Structure:
Cell: 3.497 4.949 24.526 Å, 90.00 90.00 90.00°
Space group Immm (No. 71)
Symmetry-distinct sites (fractional):
Ho (0.000, 0.000, 0.071) (multiplicity 4)
Ho (0.000, 0.000, 0.214) (multiplicity 4)
Tm (0.000, 0.000, 0.357) (multiplicity 4)
Tm (0.000, 0.000, 0.500) (multiplicity 2)

Top 8 peaks for 10 to 90 degrees two-theta, sorted by position:
2θ = 31.30°, d 2.858, rel. 100, hkl 1 1 0
2θ = 36.30°, d 2.475, rel. 51, hkl 1 0 7
2θ = 52.26°, d 1.750, rel. 30, hkl 1 2 7
2θ = 62.20°, d 1.492, rel. 43, hkl 2 1 7
2θ = 65.30°, d 1.429, rel. 12, hkl 2 2 0
2θ = 85.46°, d 1.136, rel. 9, hkl 1 3 14
2θ = 85.56°, d 1.135, rel. 9, hkl 3 1 0
2θ = 88.26°, d 1.107, rel. 8, hkl 2 2 14



Record 2
Starting from a DFT-relaxed cell (GGA-PBE, Alexandria), the powder diffractogram of YHo10Tm2 was calculated for Cu Kα, 1.54184 Å.
Lines closer than 0.1° are merged.

Structure:
Cell: 6.514 15.374 17.026 Å, 90.00 90.00 90.00°
Space group Fmmm (No. 69)
Symmetry-distinct sites (fractional):
Y (0.000, 0.000, 0.000) (multiplicity 4)
Ho (0.000, 0.104, 0.398) (multiplicity 16)
Ho (0.000, 0.181, 0.167) (multiplicity 16)
Ho (0.250, 0.000, 0.250) (multiplicity 8)
Tm (0.250, 0.250, 0.000) (multiplicity 8)

Top 8 peaks for 10 to 90 degrees two-theta, sorted by position:
2θ = 27.15°, d 3.285, rel. 58, hkl 1 3 3
2θ = 30.18°, d 2.961, rel. 61, hkl 1 1 5
2θ = 31.36°, d 2.853, rel. 80, hkl 0 4 4
2θ = 31.63°, d 2.829, rel. 100, hkl 2 2 2
2θ = 32.63°, d 2.744, rel. 69, hkl 1 5 1
2θ = 34.68°, d 2.587, rel. 78, hkl 2 0 4
2θ = 36.15°, d 2.485, rel. 52, hkl 2 4 0
2θ = 55.98°, d 1.643, rel. 61, hkl 2 6 6



Record 3
Starting from a DFT-relaxed cell (GGA-PBE, Alexandria), the powder diffractogram of Y3Ho2Tm7 was calculated for Cu Kα, 1.54184 Å.
Lines closer than 0.1° are merged.

Structure:
Cell: 6.255 3.486 17.225 Å, 90.00 96.17 90.00°
Space group P2/m (No. 10)
Symmetry-distinct sites (fractional):
Y (0.000, 0.000, 0.000) (multiplicity 1)
Y (0.051, 0.500, 0.657) (multiplicity 2)
Ho (0.440, 0.000, 0.326) (multiplicity 2)
Tm (0.227, 0.500, 0.166) (multiplicity 2)
Tm (0.246, 0.000, 0.501) (multiplicity 2)
Tm (0.277, 0.000, 0.833) (multiplicity 2)
Tm (0.500, 0.500, 0.000) (multiplicity 1)

Top 8 peaks for 10 to 90 degrees two-theta, sorted by position:
2θ = 30.11°, d 2.968, rel. 31, hkl 1 1 1
2θ = 31.30°, d 2.858, rel. 100, hkl 0 0 6
2θ = 31.73°, d 2.820, rel. 59, hkl 1 1 2
2θ = 34.29°, d 2.615, rel. 35, hkl 2 0 3
2θ = 35.29°, d 2.543, rel. 41, hkl 1 1 -4
2θ = 38.54°, d 2.336, rel. 15, hkl 1 1 -5
2θ = 51.04°, d 1.789, rel. 20, hkl 3 1 -1
2θ = 53.67°, d 1.708, rel. 22, hkl 2 0 -9



Record 4
Starting from a DFT-relaxed cell (GGA-PBE, Alexandria), the powder diffractogram of Y3Ho8Tm3 was calculated for Cu Kα, 1.54184 Å.
Lines closer than 0.1° are merged.

Structure:
Cell: 5.566 10.703 14.813 Å, 90.00 90.00 90.00°
Space group Immm (No. 71)
Symmetry-distinct sites (fractional):
Y (0.000, 0.000, 0.000) (multiplicity 2)
Y (0.000, 0.500, 0.319) (multiplicity 4)
Ho (0.000, 0.159, 0.279) (multiplicity 8)
Ho (0.000, 0.341, 0.103) (multiplicity 8)
Tm (0.000, 0.000, 0.500) (multiplicity 2)
Tm (0.000, 0.295, 0.500) (multiplicity 4)

Top 8 peaks for 10 to 90 degrees two-theta, sorted by position:
2θ = 10.20°, d 8.676, rel. 14, hkl 0 1 1
2θ = 30.17°, d 2.963, rel. 23, hkl 1 1 4
2θ = 30.92°, d 2.892, rel. 21, hkl 0 3 3
2θ = 32.16°, d 2.783, rel. 100, hkl 2 0 0
2θ = 34.29°, d 2.615, rel. 41, hkl 1 0 5
2θ = 45.22°, d 2.005, rel. 15, hkl 2 3 3
2θ = 57.35°, d 1.607, rel. 13, hkl 3 3 2
2θ = 63.09°, d 1.474, rel. 10, hkl 1 6 5



Record 5
Starting from a DFT-relaxed cell (GGA-PBE, Alexandria), the powder diffractogram of Y4HoTm15 was calculated for Cu Kα, 1.54184 Å.
Lines closer than 0.1° are merged.

Structure:
Cell: 4.955 4.955 24.808 Å, 90.00 90.00 90.00°
Space group P4/mmm (No. 123)
Symmetry-distinct sites (fractional):
Y (0.000, 0.000, 0.100) (multiplicity 2)
Y (0.000, 0.000, 0.300) (multiplicity 2)
Ho (0.000, 0.000, 0.500) (multiplicity 1)
Tm (0.000, 0.500, 0.000) (multiplicity 2)
Tm (0.000, 0.500, 0.200) (multiplicity 4)
Tm (0.000, 0.500, 0.401) (multiplicity 4)
Tm (0.500, 0.500, 0.100) (multiplicity 2)
Tm (0.500, 0.500, 0.300) (multiplicity 2)
Tm (0.500, 0.500, 0.500) (multiplicity 1)

Top 8 peaks for 10 to 90 degrees two-theta, sorted by position:
2θ = 31.25°, d 2.862, rel. 100, hkl 1 1 5
2θ = 36.24°, d 2.479, rel. 51, hkl 2 0 0
2θ = 52.19°, d 1.753, rel. 36, hkl 2 2 0
2θ = 62.06°, d 1.496, rel. 14, hkl 1 1 15
2θ = 62.12°, d 1.494, rel. 28, hkl 3 1 5
2θ = 65.19°, d 1.431, rel. 12, hkl 2 2 10
2θ = 85.34°, d 1.137, rel. 12, hkl 3 1 15
2θ = 88.11°, d 1.109, rel. 11, hkl 4 0 10



Record 6
Starting from a DFT-relaxed cell (GGA-PBE, Alexandria), the powder diffractogram of Y2Ho7Tm4 was calculated for Cu Kα, 1.54184 Å.
Lines closer than 0.1° are merged.

Structure:
Cell: 6.0219 6.0219 13.1446 Å, 90.00 90.00 120.00°
Space group P-31m (No. 162)
Symmetry-distinct sites (fractional):
Y (0.3333, 0.6667, 0.0000) (multiplicity 2)
Ho (0.0000, 0.0000, 0.0000) (multiplicity 1)
Ho (0.0000, 0.3547, 0.2175) (multiplicity 6)
Tm (0.0000, 0.0000, 0.3944) (multiplicity 2)
Tm (0.3333, 0.6667, 0.5000) (multiplicity 2)

Top 8 peaks for 10 to 90 degrees two-theta, sorted by position:
2θ = 26.57°, d 3.355, rel. 19, hkl 1 0 3
2θ = 27.14°, d 3.286, rel. 19, hkl 0 0 4
2θ = 30.46°, d 2.935, rel. 61, hkl 1 1 1
2θ = 32.72°, d 2.737, rel. 100, hkl 2 -1 2
2θ = 36.20°, d 2.481, rel. 31, hkl 1 1 3
2θ = 51.59°, d 1.771, rel. 18, hkl 2 -1 6
2θ = 52.65°, d 1.738, rel. 32, hkl 3 0 0
2θ = 63.38°, d 1.467, rel. 14, hkl 2 2 2



Record 7
Starting from a DFT-relaxed cell (GGA-PBE, Alexandria), the powder diffractogram of YHo4Tm2 was calculated for Cu Kα, 1.54184 Å.
Lines closer than 0.1° are merged.

Structure:
Cell: 18.464 5.566 10.516 Å, 90.00 124.60 90.00°
Space group Cm (No. 8)
Symmetry-distinct sites (fractional):
Y (0.000, 0.000, 0.000) (multiplicity 2)
Y (0.224, 0.000, 0.756) (multiplicity 2)
Ho (0.004, 0.000, 0.692) (multiplicity 2)
Ho (0.191, 0.000, 0.383) (multiplicity 2)
Ho (0.224, 0.000, 0.074) (multiplicity 2)
Ho (0.289, 0.500, 0.642) (multiplicity 2)
Ho (0.308, 0.500, 0.999) (multiplicity 2)
Ho (0.400, 0.000, 0.747) (multiplicity 2)
Ho (0.454, 0.000, 0.147) (multiplicity 2)
Ho (0.497, 0.500, 0.377) (multiplicity 2)
Tm (0.102, 0.500, 0.622) (multiplicity 2)
Tm (0.103, 0.500, 0.953) (multiplicity 2)
Tm (0.287, 0.500, 0.311) (multiplicity 2)
Tm (0.399, 0.000, 0.430) (multiplicity 2)

Top 8 peaks for 10 to 90 degrees two-theta, sorted by position:
2θ = 29.71°, d 3.007, rel. 21, hkl 3 1 1
2θ = 31.03°, d 2.882, rel. 33, hkl 6 0 -3
2θ = 32.16°, d 2.783, rel. 53, hkl 0 2 0
2θ = 32.40°, d 2.763, rel. 100, hkl 1 1 -3
2θ = 33.59°, d 2.668, rel. 72, hkl 5 1 0
2θ = 45.29°, d 2.002, rel. 23, hkl 6 2 -3
2θ = 57.49°, d 1.603, rel. 20, hkl 1 3 -3
2θ = 58.26°, d 1.584, rel. 15, hkl 5 3 0



Record 8
Starting from a DFT-relaxed cell (GGA-PBE, Alexandria), the powder diffractogram of Y3HoTm12 was calculated for Cu Kα, 1.54184 Å.
Lines closer than 0.1° are merged.

Structure:
Cell: 4.957 4.957 19.838 Å, 90.00 90.00 90.00°
Space group P4/mmm (No. 123)
Symmetry-distinct sites (fractional):
Y (0.000, 0.000, 0.000) (multiplicity 1)
Y (0.000, 0.000, 0.250) (multiplicity 2)
Ho (0.000, 0.000, 0.500) (multiplicity 1)
Tm (0.000, 0.500, 0.125) (multiplicity 4)
Tm (0.000, 0.500, 0.376) (multiplicity 4)
Tm (0.500, 0.500, 0.000) (multiplicity 1)
Tm (0.500, 0.500, 0.250) (multiplicity 2)
Tm (0.500, 0.500, 0.500) (multiplicity 1)

Top 8 peaks for 10 to 90 degrees two-theta, sorted by position:
2θ = 31.25°, d 2.862, rel. 100, hkl 1 1 4
2θ = 36.24°, d 2.479, rel. 51, hkl 2 0 0
2θ = 52.19°, d 1.753, rel. 36, hkl 2 2 0
2θ = 62.10°, d 1.495, rel. 42, hkl 3 1 4
2θ = 65.19°, d 1.431, rel. 12, hkl 2 2 8
2θ = 76.93°, d 1.239, rel. 6, hkl 4 0 0
2θ = 85.35°, d 1.137, rel. 18, hkl 3 3 4
2θ = 88.12°, d 1.109, rel. 17, hkl 4 2 0